# 1
Diffraction record for Cs3PbCl7. The powder diffractogram is simulated, not measured: it uses a cell relaxed with GGA-PBE and copper Kα.
Intensities are scaled so that the largest is 100.

Top 10 peaks for 2θ = 10–90°, low angle first:
- 2θ 11.97, rel. 32.7, hkl 1 1 0
- 2θ 20.69, rel. 100.0, hkl 2 0 1
- 2θ 23.66, rel. 33.0, hkl 0 0 2
- 2θ 24.07, rel. 50.5, hkl 2 2 0
- 2θ 26.90, rel. 25.1, hkl 2 2 1
- 2θ 30.50, rel. 51.2, hkl 2 1 2
- 2θ 34.00, rel. 41.0, hkl 2 2 2
- 2θ 36.41, rel. 27.5, hkl 3 3 0
- 2θ 38.49, rel. 21.0, hkl 4 2 0
- 2θ 45.69, rel. 27.0, hkl 4 2 2

Atomic structure:
```
data_Cs3PbCl7
_chemical_formula_sum 'Cs6 Pb2 Cl14'
_space_group_name_H-M_alt 'P 4/m b m'
_space_group_IT_number 127
_space_group_name_Hall '-P 4 2ab'
_cell_length_a 10.4587
_cell_length_b 10.4587
_cell_length_c 7.5199
_cell_angle_alpha 90.00
_cell_angle_beta 90.00
_cell_angle_gamma 90.00
loop_
_atom_site_label
_atom_site_fract_x
_atom_site_fract_y
_atom_site_fract_z
_atom_site_occupancy
Cs1 0.0000 0.0000 0.0000 1
Cs2 0.1783 0.3217 0.5000 1
Pb1 0.0000 0.5000 0.0000 1
Cl1 0.0000 0.0000 0.5000 1
Cl2 0.1205 0.6205 0.2470 1
Cl3 0.1728 0.3272 0.0000 1
```

=====

# 2
Diffraction record for BeZn3Re. The powder diffractogram is simulated, not measured: it uses a cell relaxed with GGA-PBE and copper Kα.
Intensities are scaled so that the largest is 100.

Top 10 peaks for 2θ = 10–90°, low angle first:
- 2θ 21.40, rel. 21.7, hkl 1 0 0
- 2θ 30.44, rel. 23.5, hkl 1 1 0
- 2θ 37.51, rel. 100.0, hkl 1 1 1
- 2θ 43.59, rel. 52.0, hkl 2 0 0
- 2θ 49.05, rel. 10.7, hkl 2 1 0
- 2θ 54.09, rel. 9.9, hkl 2 1 1
- 2θ 63.34, rel. 33.2, hkl 2 2 0
- 2θ 76.00, rel. 36.3, hkl 3 1 1
- 2θ 80.04, rel. 11.2, hkl 2 2 2
- 2θ 87.99, rel. 5.7, hkl 3 2 1

Atomic structure:
```
data_BeZn3Re
_chemical_formula_sum 'Be1 Zn3 Re1'
_space_group_name_H-M_alt 'P m -3 m'
_space_group_IT_number 221
_space_group_name_Hall '-P 4 2 3'
_cell_length_a 4.1530
_cell_length_b 4.1530
_cell_length_c 4.1530
_cell_angle_alpha 90.00
_cell_angle_beta 90.00
_cell_angle_gamma 90.00
loop_
_atom_site_label
_atom_site_fract_x
_atom_site_fract_y
_atom_site_fract_z
_atom_site_occupancy
Be1 0.0000 0.0000 0.0000 1
Zn1 0.0000 0.0000 0.5000 1
Re1 0.5000 0.5000 0.5000 1
```

=====

# 3
Diffraction record for Bi6Se3Br2O14. The powder diffractogram is simulated, not measured: it uses a cell relaxed with GGA-PBE and copper Kα.
Intensities are scaled so that the largest is 100.

Top 10 peaks for 2θ = 10–90°, low angle first:
- 2θ 13.99, rel. 19.7, hkl 1 1 0
- 2θ 26.88, rel. 86.6, hkl 2 1 2
- 2θ 27.12, rel. 100.0, hkl 1 3 0
- 2θ 29.06, rel. 63.2, hkl 0 1 4
- 2θ 30.42, rel. 76.9, hkl -1 3 2
- 2θ 30.70, rel. 57.1, hkl 2 0 -2
- 2θ 31.17, rel. 58.1, hkl 1 -2 2
- 2θ 36.58, rel. 25.8, hkl 1 4 4
- 2θ 43.49, rel. 27.1, hkl 1 2 -4
- 2θ 45.12, rel. 28.6, hkl 3 -2 0

Atomic structure:
```
data_Bi6Se3Br2O14
_chemical_formula_sum 'Bi12 Se6 Br4 O28'
_space_group_name_H-M_alt 'P -1'
_space_group_IT_number 2
_space_group_name_Hall '-P 1'
_cell_length_a 7.2455
_cell_length_b 11.2889
_cell_length_c 12.5068
_cell_angle_alpha 66.36
_cell_angle_beta 81.41
_cell_angle_gamma 77.60
loop_
_atom_site_label
_atom_site_fract_x
_atom_site_fract_y
_atom_site_fract_z
_atom_site_occupancy
Bi1 0.0461 0.1371 0.3559 1
Bi2 0.1482 0.7580 0.3954 1
Bi3 0.2105 0.7908 0.9281 1
Bi4 0.3072 0.4191 0.0056 1
Bi5 0.3587 0.0371 0.6206 1
Bi6 0.4312 0.6823 0.6724 1
Se1 0.0229 0.5167 0.2013 1
Se2 0.2637 0.4028 0.5541 1
Se3 0.3345 0.0485 0.1407 1
Br1 0.0935 0.1054 0.8383 1
Br2 0.4243 0.6987 0.1528 1
O1 0.0703 0.0539 0.5634 1
O2 0.0728 0.5920 0.0480 1
O3 0.1336 0.1661 0.1233 1
O4 0.1594 0.2814 0.5427 1
O5 0.1770 0.7387 0.5732 1
O6 0.1837 0.5309 0.8067 1
O7 0.1901 0.3767 0.2232 1
O8 0.1979 0.5322 0.4272 1
O9 0.2231 0.8280 0.7371 1
O10 0.3108 0.9549 0.2911 1
O11 0.4123 0.6104 0.9174 1
O12 0.4722 0.1263 0.4301 1
O13 0.4941 0.1395 0.1490 1
O14 0.4941 0.3429 0.5179 1
```

=====

# 4
Diffraction record for LiThSi3. The powder diffractogram is simulated, not measured: it uses a cell relaxed with GGA-PBE and copper Kα.
Intensities are scaled so that the largest is 100.

Top 10 peaks for 2θ = 10–90°, low angle first:
- 2θ 21.37, rel. 38.6, hkl 1 1 0
- 2θ 22.29, rel. 26.5, hkl 0 6 0
- 2θ 24.00, rel. 40.5, hkl 0 2 1
- 2θ 27.30, rel. 33.9, hkl 0 4 1
- 2θ 28.18, rel. 34.2, hkl 1 5 0
- 2θ 33.23, rel. 100.0, hkl 1 3 1
- 2θ 33.73, rel. 43.3, hkl 1 7 0
- 2θ 36.55, rel. 32.1, hkl 1 5 1
- 2θ 44.41, rel. 29.7, hkl 0 10 1
- 2θ 46.59, rel. 22.0, hkl 0 0 2

Atomic structure:
```
data_LiThSi3
_chemical_formula_sum 'Li4 Th4 Si12'
_space_group_name_H-M_alt 'C m c m'
_space_group_IT_number 63
_space_group_name_Hall '-C 2c 2'
_cell_length_a 4.2223
_cell_length_b 23.9327
_cell_length_c 3.8999
_cell_angle_alpha 90.00
_cell_angle_beta 90.00
_cell_angle_gamma 90.00
loop_
_atom_site_label
_atom_site_fract_x
_atom_site_fract_y
_atom_site_fract_z
_atom_site_occupancy
Li1 0.0000 0.2053 0.2500 1
Th1 0.0000 0.0750 0.7500 1
Si1 0.0000 0.3167 0.2500 1
Si2 0.0000 0.3721 0.7500 1
Si3 0.0000 0.4728 0.7500 1
```

=====

# 5
Diffraction record for Be2C2Br. The powder diffractogram is simulated, not measured: it uses a cell relaxed with GGA-PBE and copper Kα.
Intensities are scaled so that the largest is 100.

Top 10 peaks for 2θ = 10–90°, low angle first:
- 2θ 13.91, rel. 67.9, hkl 0 0 2
- 2θ 28.02, rel. 54.4, hkl 0 0 4
- 2θ 30.82, rel. 100.0, hkl 1 0 1
- 2θ 36.86, rel. 94.7, hkl 1 0 3
- 2θ 42.93, rel. 19.0, hkl 1 1 0
- 2θ 45.34, rel. 53.1, hkl 1 1 2
- 2θ 46.93, rel. 31.1, hkl 1 0 5
- 2θ 62.07, rel. 27.3, hkl 1 1 6
- 2θ 71.15, rel. 17.4, hkl 2 1 1
- 2θ 74.68, rel. 28.3, hkl 2 1 3

Atomic structure:
```
data_Be2C2Br
_chemical_formula_sum 'Be4 C4 Br2'
_space_group_name_H-M_alt 'I 4/m m m'
_space_group_IT_number 139
_space_group_name_Hall '-I 4 2'
_cell_length_a 2.9792
_cell_length_b 2.9792
_cell_length_c 12.7361
_cell_angle_alpha 90.00
_cell_angle_beta 90.00
_cell_angle_gamma 90.00
loop_
_atom_site_label
_atom_site_fract_x
_atom_site_fract_y
_atom_site_fract_z
_atom_site_occupancy
Be1 0.0000 0.0000 0.1653 1
C1 0.0000 0.5000 0.2500 1
Br1 0.0000 0.0000 0.5000 1
```

=====

# 6
Diffraction record for Ce7SnGe5. The powder diffractogram is simulated, not measured: it uses a cell relaxed with GGA-PBE and copper Kα.
Intensities are scaled so that the largest is 100.

Top 10 peaks for 2θ = 10–90°, low angle first:
- 2θ 29.00, rel. 72.7, hkl 1 3 0
- 2θ 29.52, rel. 51.5, hkl 2 0 0
- 2θ 30.07, rel. 47.9, hkl 1 0 3
- 2θ 33.99, rel. 100.0, hkl 1 3 2
- 2θ 34.47, rel. 54.4, hkl 2 0 2
- 2θ 35.08, rel. 36.6, hkl 0 0 4
- 2θ 37.87, rel. 31.9, hkl 0 4 2
- 2θ 38.42, rel. 88.8, hkl 2 2 2
- 2θ 45.56, rel. 27.1, hkl 1 4 3
- 2θ 60.10, rel. 31.8, hkl 2 6 0

Atomic structure:
```
data_Ce7SnGe5
_chemical_formula_sum 'Ce14 Sn2 Ge10'
_space_group_name_H-M_alt 'I m m 2'
_space_group_IT_number 44
_space_group_name_Hall 'I 2 -2'
_cell_length_a 6.0524
_cell_length_b 10.7295
_cell_length_c 10.2323
_cell_angle_alpha 90.00
_cell_angle_beta 90.00
_cell_angle_gamma 90.00
loop_
_atom_site_label
_atom_site_fract_x
_atom_site_fract_y
_atom_site_fract_z
_atom_site_occupancy
Ce1 0.0000 0.0000 0.0000 1
Ce2 0.0000 0.0000 0.3780 1
Ce3 0.0000 0.3131 0.6798 1
Ce4 0.0000 0.3362 0.1352 1
Ce5 0.0000 0.5000 0.3446 1
Sn1 0.0000 0.0000 0.6823 1
Ge1 0.0000 0.5000 0.8953 1
Ge2 0.2205 0.2588 0.4165 1
```

=====

# 7
Diffraction record for Ni5Pt. The powder diffractogram is simulated, not measured: it uses a cell relaxed with GGA-PBE and copper Kα.
Intensities are scaled so that the largest is 100.

Top 10 peaks for 2θ = 10–90°, low angle first:
- 2θ 13.49, rel. 30.4, hkl 0 0 2
- 2θ 21.35, rel. 14.1, hkl 1 0 0
- 2θ 25.34, rel. 18.8, hkl 1 0 2
- 2θ 40.27, rel. 27.0, hkl 0 1 3
- 2θ 41.25, rel. 14.1, hkl 0 0 6
- 2θ 43.50, rel. 38.2, hkl 2 0 0
- 2θ 46.02, rel. 100.0, hkl 1 1 3
- 2θ 46.91, rel. 44.3, hkl 1 0 6
- 2θ 60.77, rel. 19.0, hkl 2 1 3
- 2θ 81.65, rel. 17.5, hkl 3 1 3

Atomic structure:
```
data_Ni5Pt
_chemical_formula_sum 'Ni10 Pt2'
_space_group_name_H-M_alt 'A m m 2'
_space_group_IT_number 38
_space_group_name_Hall 'A 2 -2'
_cell_length_a 4.1613
_cell_length_b 2.6068
_cell_length_c 13.1307
_cell_angle_alpha 90.00
_cell_angle_beta 90.00
_cell_angle_gamma 90.00
loop_
_atom_site_label
_atom_site_fract_x
_atom_site_fract_y
_atom_site_fract_z
_atom_site_occupancy
Ni1 0.0000 0.0000 0.0000 1
Ni2 0.0000 0.0000 0.3230 1
Ni3 0.0000 0.0000 0.6608 1
Ni4 0.5000 0.0000 0.2099 1
Ni5 0.5000 0.0000 0.5532 1
Pt1 0.5000 0.0000 0.8821 1
```

=====

# 8
Diffraction record for Rb3CdCl6. The powder diffractogram is simulated, not measured: it uses a cell relaxed with GGA-PBE and copper Kα.
Intensities are scaled so that the largest is 100.

Top 10 peaks for 2θ = 10–90°, low angle first:
- 2θ 22.18, rel. 100.0, hkl 2 2 0
- 2θ 27.25, rel. 15.1, hkl 2 2 2
- 2θ 31.57, rel. 74.8, hkl 4 0 0
- 2θ 38.93, rel. 44.4, hkl 4 2 2
- 2θ 45.26, rel. 49.7, hkl 4 4 0
- 2θ 50.95, rel. 24.2, hkl 6 2 0
- 2θ 56.23, rel. 16.2, hkl 4 4 4
- 2θ 61.19, rel. 26.3, hkl 6 4 2
- 2θ 74.94, rel. 19.2, hkl 8 4 0
- 2θ 87.83, rel. 14.7, hkl 10 2 0

Atomic structure:
```
data_Rb3CdCl6
_chemical_formula_sum 'Rb12 Cd4 Cl24'
_space_group_name_H-M_alt 'F m -3 m'
_space_group_IT_number 225
_space_group_name_Hall '-F 4 2 3'
_cell_length_a 11.3348
_cell_length_b 11.3348
_cell_length_c 11.3348
_cell_angle_alpha 90.00
_cell_angle_beta 90.00
_cell_angle_gamma 90.00
loop_
_atom_site_label
_atom_site_fract_x
_atom_site_fract_y
_atom_site_fract_z
_atom_site_occupancy
Rb1 0.0000 0.0000 0.0000 1
Rb2 0.2500 0.2500 0.2500 1
Cd1 0.0000 0.0000 0.5000 1
Cl1 0.0000 0.0000 0.2711 1
```